Record 1
Diffraction record for AcTb5Pm12. The powder X-ray diffraction pattern is simulated, not measured: it uses DFT lattice parameters and positions (GGA-PBE) and Cu Kα (λ = 1.5418 Å).
Lines closer than 0.1° are merged.

Most intense lines, 2θ from 10° to 90°, sorted by position:
2θ 29.5, intensity 49
2θ 30.4, intensity 59
2θ 31.3, intensity 99
2θ 31.5, intensity 100
2θ 42.9, intensity 35
2θ 47.0, intensity 16
2θ 53.7, intensity 14
2θ 54.6, intensity 20
2θ 54.8, intensity 20
2θ 57.0, intensity 17

Structure:
Unit cell a=10.546 b=10.546 c=6.062 alpha=90.26 beta=90.26 gamma=113.26
Positions (direct):
1 Ac 0.000 0.000 0.000
2 Tb 0.169 0.831 0.500
3 Tb 0.324 0.676 0.000
4 Tb 0.500 0.500 0.500
5 Tb 0.676 0.324 0.000
6 Tb 0.831 0.169 0.500
7 Pm 0.018 0.351 0.938
8 Pm 0.158 0.491 0.441
9 Pm 0.178 0.178 0.533
10 Pm 0.340 0.340 0.032
11 Pm 0.351 0.018 0.938
12 Pm 0.491 0.158 0.441
13 Pm 0.509 0.842 0.559
14 Pm 0.649 0.982 0.062
15 Pm 0.660 0.660 0.968
16 Pm 0.822 0.822 0.467
17 Pm 0.842 0.509 0.559
18 Pm 0.982 0.649 0.062

***

Record 2
Diffraction record for Y2PaRu4. The powder X-ray diffraction pattern is simulated, not measured: it uses DFT lattice parameters and positions (GGA-PBE) and Cu Kα (λ = 1.5418 Å).
Lines closer than 0.1° are merged.

Most intense lines, 2θ from 10° to 90°, sorted by position:
2θ 13.1, intensity 10
2θ 20.5, intensity 37
2θ 27.9, intensity 29
2θ 38.6, intensity 100
2θ 39.4, intensity 54
2θ 44.9, intensity 10
2θ 49.0, intensity 13
2θ 57.0, intensity 18
2θ 69.3, intensity 12
2θ 71.0, intensity 33

Structure:
Unit cell a=7.469 b=7.469 c=7.469 alpha=144.38 beta=144.38 gamma=51.26
Positions (direct):
1 Y 0.237 0.237 0.000
2 Y 0.763 0.763 0.000
3 Pa 0.500 0.500 0.000
4 Ru 0.107 0.607 0.500
5 Ru 0.393 0.893 0.500
6 Ru 0.607 0.107 0.500
7 Ru 0.893 0.393 0.500

***

Record 3
Diffraction record for Ga8Ni3Pt2. The powder X-ray diffraction pattern is simulated, not measured: it uses DFT lattice parameters and positions (GGA-PBE) and Cu Kα (λ = 1.5418 Å).
Lines closer than 0.1° are merged.

Most intense lines, 2θ from 10° to 90°, sorted by position:
2θ 22.1, intensity 22
2θ 26.3, intensity 56
2θ 36.3, intensity 12
2θ 42.8, intensity 100
2θ 44.9, intensity 23
2θ 45.1, intensity 22
2θ 49.0, intensity 10
2θ 65.5, intensity 14
2θ 81.4, intensity 15
2θ 81.6, intensity 14

Structure:
Unit cell a=7.460 b=4.037 c=7.461 alpha=90.00 beta=114.74 gamma=90.00
Positions (direct):
1 Ga 0.109 0.000 0.393
2 Ga 0.130 0.500 0.868
3 Ga 0.368 0.500 0.630
4 Ga 0.369 0.000 0.130
5 Ga 0.631 0.000 0.870
6 Ga 0.632 0.500 0.370
7 Ga 0.870 0.500 0.132
8 Ga 0.891 0.000 0.607
9 Ni 0.267 0.000 0.767
10 Ni 0.500 0.500 0.000
11 Ni 0.733 0.000 0.233
12 Pt 0.242 0.500 0.259
13 Pt 0.758 0.500 0.741

***

Record 4
Diffraction record for Ce5SiN8. The powder X-ray diffraction pattern is simulated, not measured: it uses DFT lattice parameters and positions (GGA-PBE) and Cu Kα (λ = 1.5418 Å).
Lines closer than 0.1° are merged.

Most intense lines, 2θ from 10° to 90°, sorted by position:
2θ 22.6, intensity 38
2θ 28.1, intensity 64
2θ 29.0, intensity 100
2θ 32.2, intensity 38
2θ 36.4, intensity 23
2θ 43.9, intensity 52
2θ 49.4, intensity 19
2θ 55.0, intensity 27
2θ 56.4, intensity 19
2θ 60.2, intensity 20

Structure:
Unit cell a=6.674 b=6.674 c=6.674 alpha=107.81 beta=107.81 gamma=112.84
Positions (direct):
1 Ce 0.000 0.000 0.000
2 Ce 0.177 0.622 0.049
3 Ce 0.378 0.427 0.555
4 Ce 0.573 0.129 0.951
5 Ce 0.871 0.823 0.445
6 Si 0.750 0.250 0.500
7 N 0.060 0.314 0.662
8 N 0.086 0.377 0.199
9 N 0.113 0.914 0.291
10 N 0.178 0.887 0.801
11 N 0.603 0.940 0.254
12 N 0.623 0.822 0.709
13 N 0.652 0.397 0.338
14 N 0.686 0.348 0.746

***

Record 5
Diffraction record for Pm2P4Rh3. The powder X-ray diffraction pattern is simulated, not measured: it uses DFT lattice parameters and positions (GGA-PBE) and Cu Kα (λ = 1.5418 Å).
Lines closer than 0.1° are merged.

Most intense lines, 2θ from 10° to 90°, sorted by position:
2θ 27.0, intensity 56
2θ 27.5, intensity 36
2θ 34.4, intensity 24
2θ 34.7, intensity 51
2θ 36.4, intensity 100
2θ 36.6, intensity 53
2θ 38.4, intensity 40
2θ 39.4, intensity 50
2θ 40.9, intensity 72
2θ 63.4, intensity 29

Structure:
Unit cell a=7.943 b=7.943 c=7.217 alpha=90.00 beta=90.00 gamma=138.93
Positions (direct):
1 Pm 0.111 0.889 0.912
2 Pm 0.389 0.611 0.412
3 Pm 0.611 0.389 0.588
4 Pm 0.889 0.111 0.088
5 P 0.190 0.810 0.537
6 P 0.196 0.304 0.750
7 P 0.304 0.196 0.250
8 P 0.310 0.690 0.037
9 P 0.690 0.310 0.963
10 P 0.696 0.804 0.750
11 P 0.804 0.696 0.250
12 P 0.810 0.190 0.463
13 Rh 0.000 0.000 0.500
14 Rh 0.035 0.465 0.750
15 Rh 0.465 0.035 0.250
16 Rh 0.500 0.500 0.000
17 Rh 0.535 0.965 0.750
18 Rh 0.965 0.535 0.250

***

Record 6
Diffraction record for IrOs2Rh. The powder X-ray diffraction pattern is simulated, not measured: it uses DFT lattice parameters and positions (GGA-PBE) and Cu Kα (λ = 1.5418 Å).
Lines closer than 0.1° are merged.

Most intense lines, 2θ from 10° to 90°, sorted by position:
2θ 23.1, intensity 2
2θ 25.8, intensity 5
2θ 40.5, intensity 100
2θ 47.1, intensity 33
2θ 47.3, intensity 16
2θ 68.8, intensity 11
2θ 68.9, intensity 21
2θ 83.0, intensity 26
2θ 83.3, intensity 13
2θ 87.7, intensity 12

Structure:
Unit cell a=4.715 b=4.715 c=4.715 alpha=131.67 beta=131.67 gamma=70.76
Positions (direct):
1 Ir 0.000 0.000 0.000
2 Os 0.250 0.750 0.500
3 Os 0.500 0.500 0.000
4 Rh 0.750 0.250 0.500

***

Record 7
Diffraction record for Si2GeTeF. The powder X-ray diffraction pattern is simulated, not measured: it uses DFT lattice parameters and positions (GGA-PBE) and Cu Kα (λ = 1.5418 Å).
Lines closer than 0.1° are merged.

Most intense lines, 2θ from 10° to 90°, sorted by position:
2θ 18.3, intensity 100
2θ 26.0, intensity 35
2θ 31.0, intensity 27
2θ 33.6, intensity 26
2θ 37.1, intensity 40
2θ 38.5, intensity 31
2θ 41.6, intensity 25
2θ 42.9, intensity 18
2θ 50.9, intensity 31
2θ 54.5, intensity 23

Structure:
Unit cell a=4.849 b=4.849 c=5.338 alpha=90.00 beta=90.00 gamma=90.00
Positions (direct):
1 Si 0.000 0.500 0.000
2 Si 0.500 0.000 0.000
3 Ge 0.000 0.000 0.000
4 Te 0.000 0.000 0.500
5 F 0.500 0.500 0.500

***

Record 8
Diffraction record for Pr4Ge2SeCl. The powder X-ray diffraction pattern is simulated, not measured: it uses DFT lattice parameters and positions (GGA-PBE) and Cu Kα (λ = 1.5418 Å).
Lines closer than 0.1° are merged.

Most intense lines, 2θ from 10° to 90°, sorted by position:
2θ 25.5, intensity 37
2θ 29.5, intensity 100
2θ 29.7, intensity 49
2θ 42.2, intensity 37
2θ 42.4, intensity 74
2θ 52.5, intensity 39
2θ 69.4, intensity 17
2θ 69.5, intensity 17
2θ 69.9, intensity 16
2θ 77.3, intensity 25

Structure:
Unit cell a=7.382 b=7.382 c=7.382 alpha=131.56 beta=131.56 gamma=70.92
Positions (direct):
1 Pr 0.000 0.500 0.500
2 Pr 0.247 0.247 0.000
3 Pr 0.500 0.000 0.500
4 Pr 0.753 0.753 0.000
5 Ge 0.250 0.750 0.500
6 Ge 0.750 0.250 0.500
7 Se 0.000 0.000 0.000
8 Cl 0.500 0.500 0.000

***

Record 9
Diffraction record for Ac5MgGa4. The powder X-ray diffraction pattern is simulated, not measured: it uses DFT lattice parameters and positions (GGA-PBE) and Cu Kα (λ = 1.5418 Å).
Lines closer than 0.1° are merged.

Most intense lines, 2θ from 10° to 90°, sorted by position:
2θ 22.1, intensity 18
2θ 22.6, intensity 37
2θ 31.8, intensity 100
2θ 32.2, intensity 51
2θ 39.4, intensity 17
2θ 46.2, intensity 19
2θ 56.5, intensity 17
2θ 57.1, intensity 39
2θ 66.5, intensity 10
2θ 76.6, intensity 9

Structure:
Unit cell a=3.933 b=3.933 c=20.118 alpha=90.00 beta=90.00 gamma=90.00
Positions (direct):
1 Ac 0.000 0.000 0.000
2 Ac 0.000 0.000 0.195
3 Ac 0.000 0.000 0.388
4 Ac 0.000 0.000 0.612
5 Ac 0.000 0.000 0.805
6 Mg 0.500 0.500 0.500
7 Ga 0.500 0.500 0.097
8 Ga 0.500 0.500 0.295
9 Ga 0.500 0.500 0.705
10 Ga 0.500 0.500 0.903

***

Record 10
Diffraction record for Ac2B10W. The powder X-ray diffraction pattern is simulated, not measured: it uses DFT lattice parameters and positions (GGA-PBE) and Cu Kα (λ = 1.5418 Å).
Lines closer than 0.1° are merged.

Most intense lines, 2θ from 10° to 90°, sorted by position:
2θ 21.1, intensity 80
2θ 25.6, intensity 23
2θ 26.6, intensity 42
2θ 27.0, intensity 24
2θ 29.7, intensity 100
2θ 36.7, intensity 53
2θ 36.8, intensity 60
2θ 42.1, intensity 22
2θ 42.9, intensity 33
2θ 47.5, intensity 28

Structure:
Unit cell a=5.969 b=11.889 c=4.296 alpha=90.00 beta=90.00 gamma=90.00
Positions (direct):
1 Ac 0.208 0.139 0.000
2 Ac 0.292 0.639 0.000
3 Ac 0.708 0.361 0.000
4 Ac 0.792 0.861 0.000
5 B 0.067 0.307 0.500
6 B 0.119 0.957 0.500
7 B 0.129 0.803 0.500
8 B 0.227 0.381 0.204
9 B 0.227 0.381 0.796
10 B 0.273 0.881 0.204
11 B 0.273 0.881 0.796
12 B 0.371 0.303 0.500
13 B 0.381 0.457 0.500
14 B 0.433 0.807 0.500
15 B 0.567 0.193 0.500
16 B 0.619 0.543 0.500
17 B 0.629 0.697 0.500
18 B 0.727 0.119 0.204
19 B 0.727 0.119 0.796
20 B 0.773 0.619 0.204
21 B 0.773 0.619 0.796
22 B 0.871 0.197 0.500
23 B 0.881 0.043 0.500
24 B 0.933 0.693 0.500
25 W 0.000 0.500 0.500
26 W 0.500 0.000 0.500

***

Record 11
Diffraction record for Ac12Tl6Os. The powder X-ray diffraction pattern is simulated, not measured: it uses DFT lattice parameters and positions (GGA-PBE) and Cu Kα (λ = 1.5418 Å).
Lines closer than 0.1° are merged.

Most intense lines, 2θ from 10° to 90°, sorted by position:
2θ 14.2, intensity 19
2θ 25.2, intensity 43
2θ 26.7, intensity 18
2θ 28.5, intensity 100
2θ 30.4, intensity 38
2θ 31.6, intensity 31
2θ 32.3, intensity 92
2θ 36.5, intensity 16
2θ 44.0, intensity 16
2θ 51.6, intensity 18

Structure:
Unit cell a=9.166 b=9.166 c=9.166 alpha=93.50 beta=93.50 gamma=93.50
Positions (direct):
1 Ac 0.039 0.920 0.692
2 Ac 0.080 0.308 0.961
3 Ac 0.197 0.422 0.551
4 Ac 0.308 0.961 0.080
5 Ac 0.422 0.551 0.197
6 Ac 0.449 0.803 0.578
7 Ac 0.551 0.197 0.422
8 Ac 0.578 0.449 0.803
9 Ac 0.692 0.039 0.920
10 Ac 0.803 0.578 0.449
11 Ac 0.920 0.692 0.039
12 Ac 0.961 0.080 0.308
13 Tl 0.139 0.730 0.354
14 Tl 0.270 0.646 0.861
15 Tl 0.354 0.139 0.730
16 Tl 0.646 0.861 0.270
17 Tl 0.730 0.354 0.139
18 Tl 0.861 0.270 0.646
19 Os 0.000 0.000 0.000

***

Record 12
Diffraction record for CeSnGePd. The powder X-ray diffraction pattern is simulated, not measured: it uses DFT lattice parameters and positions (GGA-PBE) and Cu Kα (λ = 1.5418 Å).
Lines closer than 0.1° are merged.

Most intense lines, 2θ from 10° to 90°, sorted by position:
2θ 26.3, intensity 55
2θ 30.7, intensity 100
2θ 31.3, intensity 59
2θ 35.1, intensity 72
2θ 35.4, intensity 89
2θ 37.6, intensity 69
2θ 45.4, intensity 29
2θ 45.8, intensity 36
2θ 52.4, intensity 46
2θ 59.9, intensity 29

Structure:
Unit cell a=6.257 b=6.257 c=3.559 alpha=106.45 beta=106.45 gamma=44.99
Positions (direct):
1 Ce 0.000 0.000 0.000
2 Sn 0.665 0.665 0.662
3 Ge 0.416 0.416 0.416
4 Pd 0.263 0.263 0.763